Entry 1:
Diffraction record for Li9Fe4Si4O20. The XRD peak list is theoretical, not measured: it uses a PBE+U-relaxed structure and Cu Kα X-rays.

Lattice parameters (Å, degrees): 5.026 5.599 16.086 90.77 90.08 90.01
Atoms (fractional coordinates):
Li1 0.000 0.000 0.000
Li2 0.000 0.491 0.909
Li3 0.004 0.533 0.301
Li4 0.500 0.673 0.000
Li5 0.502 0.181 0.094
Li6 0.503 0.138 0.694
Li7 0.509 0.691 0.401
Li8 0.511 0.156 0.507
Li9 0.998 0.972 0.600
Fe1 0.000 0.986 0.801
Fe2 0.503 0.688 0.199
Fe3 0.507 0.195 0.302
Fe4 0.994 0.479 0.702
Si1 0.005 0.514 0.097
Si2 0.015 0.034 0.400
Si3 0.495 0.650 0.596
Si4 0.504 0.159 0.903
O1 0.038 0.654 0.802
O2 0.105 0.155 0.705
O3 0.106 0.664 0.016
O4 0.111 0.242 0.078
O5 0.122 0.087 0.494
O6 0.134 0.610 0.186
O7 0.137 0.771 0.377
O8 0.138 0.224 0.334
O9 0.173 0.143 0.895
O10 0.175 0.661 0.620
O11 0.520 0.517 0.505
O12 0.549 0.020 0.202
O13 0.606 0.009 0.983
O14 0.610 0.431 0.922
O15 0.613 0.921 0.600
O16 0.615 0.520 0.295
O17 0.630 0.066 0.813
O18 0.635 0.468 0.664
O19 0.675 0.530 0.106
O20 0.685 0.041 0.394

Top 6 peaks for 10° ≤ 2θ ≤ 90°, by angle:
- 2θ = 11.00°, I 56
- 2θ = 18.50°, I 62
- 2θ = 19.19°, I 57
- 2θ = 19.44°, I 70
- 2θ = 24.27°, I 100
- 2θ = 31.93°, I 60

---

Entry 2:
Diffraction record for Li2FeSi3O8. The XRD peak list is theoretical, not measured: it uses a PBE+U-relaxed structure and Cu Kα X-rays.

Lattice parameters (Å, degrees): 5.090 6.244 6.286 76.24 71.90 75.04
Atoms (fractional coordinates):
Li1 0.000 0.000 0.000
Li2 0.492 0.266 0.334
Fe1 0.616 0.770 0.357
Si1 0.541 0.331 0.765
Si2 0.934 0.537 0.894
Si3 0.967 0.960 0.532
O1 0.204 0.313 0.891
O2 0.280 0.011 0.471
O3 0.562 0.465 0.511
O4 0.647 0.429 0.944
O5 0.752 0.081 0.755
O6 0.834 0.025 0.318
O7 0.913 0.685 0.075
O8 0.974 0.687 0.637

Top 6 peaks for 10° ≤ 2θ ≤ 90°, by angle:
- 2θ = 15.05°, I 31
- 2θ = 18.72°, I 65
- 2θ = 19.32°, I 61
- 2θ = 21.52°, I 60
- 2θ = 23.02°, I 100
- 2θ = 30.49°, I 34

---

Entry 3:
Diffraction record for Li2FeSiO4. The XRD peak list is theoretical, not measured: it uses a PBE+U-relaxed structure and Cu Kα X-rays.

Lattice parameters (Å, degrees): 5.040 5.503 8.030 90.00 128.42 90.00
Atoms (fractional coordinates):
Li1 0.000 0.153 0.000
Li2 0.000 0.847 0.500
Li3 0.248 0.318 0.751
Li4 0.248 0.682 0.251
Fe1 0.743 0.332 0.242
Fe2 0.743 0.668 0.742
Si1 0.491 0.175 0.499
Si2 0.491 0.825 0.999
O1 0.165 0.174 0.500
O2 0.165 0.826 0.000
O3 0.375 0.323 0.283
O4 0.375 0.677 0.783
O5 0.600 0.108 0.998
O6 0.600 0.892 0.498
O7 0.815 0.313 0.718
O8 0.815 0.687 0.218

Top 6 peaks for 10° ≤ 2θ ≤ 90°, by angle:
- 2θ = 21.45°, I 100
- 2θ = 22.52°, I 59
- 2θ = 22.69°, I 65
- 2θ = 32.79°, I 71
- 2θ = 35.62°, I 86
- 2θ = 58.21°, I 42

---

Entry 4:
Diffraction record for Li2Fe2Si8O19. The XRD peak list is theoretical, not measured: it uses a PBE+U-relaxed structure and Cu Kα X-rays.

Lattice parameters (Å, degrees): 7.491 7.491 12.524 106.79 106.79 40.64
Atoms (fractional coordinates):
Li1 0.117 0.117 0.140
Li2 0.883 0.883 0.860
Fe1 0.519 0.079 0.094
Fe2 0.921 0.481 0.906
Si1 0.004 0.409 0.660
Si2 0.033 0.965 0.328
Si3 0.035 0.967 0.672
Si4 0.156 0.703 0.080
Si5 0.297 0.844 0.920
Si6 0.401 0.351 0.568
Si7 0.591 0.996 0.340
Si8 0.649 0.599 0.432
O1 0.083 0.914 0.199
O2 0.086 0.917 0.801
O3 0.099 0.130 0.668
O4 0.145 0.855 0.000
O5 0.233 0.671 0.596
O6 0.239 0.110 0.974
O7 0.258 0.303 0.614
O8 0.329 0.767 0.404
O9 0.411 0.268 0.433
O10 0.416 0.059 0.218
O11 0.446 0.391 0.092
O12 0.609 0.554 0.908
O13 0.697 0.742 0.386
O14 0.714 0.150 0.630
O15 0.732 0.589 0.567
O16 0.850 0.286 0.370
O17 0.870 0.901 0.332
O18 0.890 0.761 0.026
O19 0.941 0.584 0.782

Top 6 peaks for 10° ≤ 2θ ≤ 90°, by angle:
- 2θ = 13.04°, I 41
- 2θ = 16.61°, I 64
- 2θ = 18.97°, I 98
- 2θ = 24.94°, I 72
- 2θ = 26.32°, I 100
- 2θ = 29.09°, I 50

---

Entry 5:
Diffraction record for LiFeSiO4. The XRD peak list is theoretical, not measured: it uses a PBE+U-relaxed structure and Cu Kα X-rays.

Lattice parameters (Å, degrees): 8.261 5.349 8.444 90.00 105.98 90.00
Atoms (fractional coordinates):
Li1 0.000 0.155 0.000
Li2 0.000 0.845 0.500
Li3 0.530 0.337 0.704
Li4 0.530 0.663 0.204
Fe1 0.399 0.170 0.308
Fe2 0.399 0.830 0.808
Fe3 0.894 0.335 0.629
Fe4 0.894 0.665 0.129
Si1 0.276 0.334 0.932
Si2 0.276 0.666 0.432
Si3 0.770 0.167 0.251
Si4 0.770 0.833 0.751
O1 0.085 0.307 0.807
O2 0.085 0.693 0.307
O3 0.244 0.217 0.101
O4 0.244 0.783 0.601
O5 0.352 0.381 0.469
O6 0.352 0.619 0.969
O7 0.410 0.174 0.858
O8 0.410 0.826 0.358
O9 0.597 0.305 0.267
O10 0.597 0.695 0.767
O11 0.733 0.130 0.698
O12 0.733 0.870 0.198
O13 0.843 0.317 0.115
O14 0.843 0.683 0.615
O15 0.911 0.179 0.433
O16 0.911 0.821 0.933

Top 6 peaks for 10° ≤ 2θ ≤ 90°, by angle:
- 2θ = 21.29°, I 100
- 2θ = 22.39°, I 87
- 2θ = 27.29°, I 83
- 2θ = 27.71°, I 37
- 2θ = 31.62°, I 46
- 2θ = 33.50°, I 32

---

Entry 6:
Diffraction record for Li2FeSi3O8. The XRD peak list is theoretical, not measured: it uses a PBE+U-relaxed structure and Cu Kα X-rays.

Lattice parameters (Å, degrees): 6.524 8.287 6.946 90.00 109.43 90.00
Atoms (fractional coordinates):
Li1 0.102 0.000 0.064
Li2 0.295 0.498 0.737
Li3 0.705 0.998 0.263
Li4 0.898 0.500 0.936
Fe1 0.475 0.675 0.124
Fe2 0.525 0.175 0.876
Si1 0.090 0.205 0.451
Si2 0.269 0.853 0.441
Si3 0.315 0.335 0.175
Si4 0.685 0.835 0.825
Si5 0.731 0.353 0.559
Si6 0.910 0.705 0.549
O1 0.095 0.303 0.244
O2 0.107 0.012 0.402
O3 0.164 0.712 0.550
O4 0.260 0.484 0.014
O5 0.264 0.268 0.657
O6 0.271 0.810 0.217
O7 0.382 0.163 0.097
O8 0.499 0.902 0.613
O9 0.501 0.402 0.387
O10 0.618 0.663 0.903
O11 0.729 0.310 0.783
O12 0.736 0.768 0.343
O13 0.740 0.984 0.986
O14 0.836 0.212 0.450
O15 0.893 0.512 0.598
O16 0.905 0.803 0.756

Top 6 peaks for 10° ≤ 2θ ≤ 90°, by angle:
- 2θ = 19.40°, I 90
- 2θ = 21.45°, I 55
- 2θ = 22.89°, I 100
- 2θ = 25.32°, I 32
- 2θ = 26.97°, I 74
- 2θ = 36.39°, I 36